The following is a simulated X-ray powder pattern of KCSeN. It was derived from DFT lattice parameters and positions (GGA-PBE), using λ = 1.5418 Å (Cu Kα).

The 10 most intense peaks (2θ from 10° to 90°), low angle first:
2θ (°)	intensity
19.6	41
22.8	31
24.2	53
25.3	93
26.8	100
27.5	51
29.6	74
30.4	57
32.3	43
39.8	38

Crystal structure
Unit cell a=4.6040 b=7.7512 c=12.0350 alpha=90.00 beta=100.34 gamma=90.00
Fractional coordinates of all 16 atoms:
K1 0.1289 0.1955 0.4033
K2 0.1289 0.3045 0.9033
K3 0.8711 0.6955 0.0967
K4 0.8711 0.8045 0.5967
C1 0.3407 0.7234 0.3844
C2 0.3407 0.7766 0.8844
C3 0.6593 0.2234 0.1156
C4 0.6593 0.2766 0.6156
Se1 0.4612 0.5518 0.3023
Se2 0.4612 0.9482 0.8023
Se3 0.5388 0.0518 0.1977
Se4 0.5388 0.4482 0.6977
N1 0.2621 0.6640 0.9388
N2 0.2621 0.8360 0.4388
N3 0.7379 0.1640 0.5612
N4 0.7379 0.3360 0.0612

=====

The following is a simulated X-ray powder pattern of Tb3Mn3Ga2Si. It was derived from DFT lattice parameters and positions (GGA-PBE), using λ = 1.5418 Å (Cu Kα).

The 10 most intense peaks (2θ from 10° to 90°), low angle first:
2θ (°)	intensity
24.9	25
33.9	100
36.9	54
38.4	37
43.8	15
46.2	18
53.3	16
58.6	27
61.6	18
70.4	14

Crystal structure
Unit cell a=7.1571 b=7.1571 c=3.9328 alpha=90.00 beta=90.00 gamma=120.00
Fractional coordinates of all 9 atoms:
Tb1 0.0000 0.5962 0.0000
Tb2 0.4038 0.4038 0.0000
Tb3 0.5962 0.0000 0.0000
Mn1 0.0000 0.2197 0.5000
Mn2 0.2197 0.0000 0.5000
Mn3 0.7803 0.7803 0.5000
Ga1 0.3333 0.6667 0.5000
Ga2 0.6667 0.3333 0.5000
Si1 0.0000 0.0000 0.0000

=====

The following is a simulated X-ray powder pattern of Ba3SiF12. It was derived from DFT lattice parameters and positions (GGA-PBE), using λ = 1.5418 Å (Cu Kα).

The 10 most intense peaks (2θ from 10° to 90°), low angle first:
2θ (°)	intensity
20.6	40
22.0	77
23.9	66
25.8	100
33.3	77
37.4	50
39.8	41
41.0	42
41.9	57
45.3	39

Crystal structure
Unit cell a=9.0743 b=9.0743 c=4.5441 alpha=100.17 beta=100.17 gamma=125.60
Fractional coordinates of all 16 atoms:
Ba1 0.0000 0.0000 0.0000
Ba2 0.0000 0.5000 0.5000
Ba3 0.5000 0.0000 0.5000
Si1 0.5000 0.5000 0.5000
F1 0.0262 0.2425 0.7381
F2 0.2079 0.6276 0.1489
F3 0.2425 0.0262 0.7381
F4 0.2802 0.4199 0.4134
F5 0.3724 0.7921 0.8511
F6 0.4199 0.2802 0.4134
F7 0.5801 0.7198 0.5866
F8 0.6276 0.2079 0.1489
F9 0.7198 0.5801 0.5866
F10 0.7575 0.9738 0.2619
F11 0.7921 0.3724 0.8511
F12 0.9738 0.7575 0.2619

=====

The following is a simulated X-ray powder pattern of Nb3Co5B2. It was derived from DFT lattice parameters and positions (GGA-PBE), using λ = 1.5418 Å (Cu Kα).

The 10 most intense peaks (2θ from 10° to 90°), low angle first:
2θ (°)	intensity
36.5	76
41.1	41
43.9	100
44.2	54
47.9	21
48.2	30
56.8	23
73.3	16
74.7	21
77.6	13

Crystal structure
Unit cell a=8.4483 b=8.4483 c=3.2418 alpha=90.00 beta=90.00 gamma=90.00
Fractional coordinates of all 20 atoms:
Nb1 0.0000 0.0000 0.0000
Nb2 0.1750 0.3250 0.0000
Nb3 0.3250 0.8250 0.0000
Nb4 0.5000 0.5000 0.0000
Nb5 0.6750 0.1750 0.0000
Nb6 0.8250 0.6750 0.0000
Co1 0.0000 0.5000 0.5000
Co2 0.0696 0.7792 0.5000
Co3 0.2208 0.0696 0.5000
Co4 0.2792 0.5696 0.5000
Co5 0.4304 0.2792 0.5000
Co6 0.5000 0.0000 0.5000
Co7 0.5696 0.7208 0.5000
Co8 0.7208 0.4304 0.5000
Co9 0.7792 0.9304 0.5000
Co10 0.9304 0.2208 0.5000
B1 0.1179 0.6179 0.0000
B2 0.3821 0.1179 0.0000
B3 0.6179 0.8821 0.0000
B4 0.8821 0.3821 0.0000

=====

The following is a simulated X-ray powder pattern of LaTa3O9. It was derived from DFT lattice parameters and positions (GGA-PBE), using λ = 1.5418 Å (Cu Kα).

The 10 most intense peaks (2θ from 10° to 90°), low angle first:
2θ (°)	intensity
22.9	63
27.0	31
27.6	62
28.2	50
30.5	100
34.2	43
38.5	30
46.9	31
51.1	29
56.9	43

Crystal structure
Unit cell a=6.6210 b=7.7543 c=12.6782 alpha=90.00 beta=90.00 gamma=90.00
Fractional coordinates of all 52 atoms:
La1 0.0507 0.2500 0.0268
La2 0.4493 0.7500 0.5268
La3 0.5507 0.2500 0.4732
La4 0.9493 0.7500 0.9732
Ta1 0.0000 0.0000 0.5000
Ta2 0.0000 0.5000 0.5000
Ta3 0.2167 0.0021 0.7845
Ta4 0.2167 0.4979 0.7845
Ta5 0.2833 0.5021 0.2845
Ta6 0.2833 0.9979 0.2845
Ta7 0.5000 0.0000 0.0000
Ta8 0.5000 0.5000 0.0000
Ta9 0.7167 0.0021 0.7155
Ta10 0.7167 0.4979 0.7155
Ta11 0.7833 0.5021 0.2155
Ta12 0.7833 0.9979 0.2155
O1 0.0263 0.0313 0.6563
O2 0.0263 0.4687 0.6563
O3 0.0629 0.7500 0.5196
O4 0.0913 0.0205 0.1669
O5 0.0913 0.4795 0.1669
O6 0.1902 0.2500 0.8181
O7 0.2065 0.7500 0.7984
O8 0.2141 0.5269 0.9582
O9 0.2141 0.9731 0.9582
O10 0.2859 0.0269 0.4582
O11 0.2859 0.4731 0.4582
O12 0.2935 0.2500 0.2984
O13 0.3098 0.7500 0.3181
O14 0.4087 0.5205 0.6669
O15 0.4087 0.9795 0.6669
O16 0.4371 0.2500 0.0196
O17 0.4737 0.5313 0.1563
O18 0.4737 0.9687 0.1563
O19 0.5263 0.0313 0.8437
O20 0.5263 0.4687 0.8437
O21 0.5629 0.7500 0.9804
O22 0.5913 0.0205 0.3331
O23 0.5913 0.4795 0.3331
O24 0.6902 0.2500 0.6819
O25 0.7065 0.7500 0.7016
O26 0.7141 0.5269 0.5418
O27 0.7141 0.9731 0.5418
O28 0.7859 0.0269 0.0418
O29 0.7859 0.4731 0.0418
O30 0.7935 0.2500 0.2016
O31 0.8098 0.7500 0.1819
O32 0.9087 0.5205 0.8331
O33 0.9087 0.9795 0.8331
O34 0.9371 0.2500 0.4804
O35 0.9737 0.5313 0.3437
O36 0.9737 0.9687 0.3437

=====

The following is a simulated X-ray powder pattern of CaAl2Si2O10. It was derived from DFT lattice parameters and positions (GGA-PBE), using λ = 1.5418 Å (Cu Kα).

The 10 most intense peaks (2θ from 10° to 90°), low angle first:
2θ (°)	intensity
18.9	30
20.2	100
23.9	49
29.9	29
32.1	45
37.4	27
38.4	35
38.8	23
41.1	45
51.2	36

Crystal structure
Unit cell a=4.7620 b=13.9869 c=5.1177 alpha=90.00 beta=103.18 gamma=90.00
Fractional coordinates of all 30 atoms:
Ca1 0.0896 0.2500 0.1841
Ca2 0.9104 0.7500 0.8159
Al1 0.0000 0.0000 0.0000
Al2 0.0000 0.5000 0.0000
Al3 0.5000 0.0000 0.5000
Al4 0.5000 0.5000 0.5000
Si1 0.3945 0.1572 0.7726
Si2 0.3945 0.3428 0.7726
Si3 0.6055 0.6572 0.2274
Si4 0.6055 0.8428 0.2274
O1 0.0822 0.0233 0.4207
O2 0.0822 0.4767 0.4207
O3 0.1567 0.1146 0.9417
O4 0.1569 0.2500 0.6317
O5 0.1567 0.3854 0.9417
O6 0.3851 0.5492 0.1301
O7 0.3851 0.9508 0.1301
O8 0.4041 0.7500 0.0484
O9 0.4800 0.1323 0.4744
O10 0.4800 0.3677 0.4744
O11 0.5200 0.6323 0.5256
O12 0.5200 0.8677 0.5256
O13 0.5959 0.2500 0.9516
O14 0.6149 0.0492 0.8699
O15 0.6149 0.4508 0.8699
O16 0.8433 0.6146 0.0583
O17 0.8431 0.7500 0.3683
O18 0.8433 0.8854 0.0583
O19 0.9178 0.5233 0.5793
O20 0.9178 0.9767 0.5793

=====

The following is a simulated X-ray powder pattern of KLaF4. It was derived from DFT lattice parameters and positions (GGA-PBE), using λ = 1.5418 Å (Cu Kα).

The 10 most intense peaks (2θ from 10° to 90°), low angle first:
2θ (°)	intensity
15.5	67
26.9	31
27.0	61
28.1	100
39.3	53
39.4	27
47.6	41
48.2	27
48.4	27
55.6	26

Crystal structure
Unit cell a=7.6234 b=7.6234 c=6.6371 alpha=115.74 beta=115.74 gamma=60.16
Fractional coordinates of all 18 atoms:
K1 0.0000 0.0000 0.0000
K2 0.5169 0.5169 0.9957
K3 0.6752 0.6752 0.6668
La1 0.0929 0.5918 0.3347
La2 0.1769 0.1769 0.6700
La3 0.5918 0.0929 0.3347
F1 0.1004 0.5424 0.6936
F2 0.2159 0.2159 0.3289
F3 0.2644 0.8225 0.3817
F4 0.3492 0.3492 0.0902
F5 0.3857 0.9430 0.9352
F6 0.4575 0.4575 0.5624
F7 0.5424 0.1004 0.6936
F8 0.7260 0.7260 0.3354
F9 0.8225 0.2644 0.3817
F10 0.8405 0.8405 0.1048
F11 0.9430 0.3857 0.9352
F12 0.9651 0.9651 0.5898

=====

The following is a simulated X-ray powder pattern of Y2Ga3Ag. It was derived from DFT lattice parameters and positions (GGA-PBE), using λ = 1.5418 Å (Cu Kα).

The 10 most intense peaks (2θ from 10° to 90°), low angle first:
2θ (°)	intensity
25.9	10
33.7	100
39.9	76
44.1	16
53.2	26
66.2	17
68.6	24
69.2	7
72.5	12
86.1	8

Crystal structure
Unit cell a=4.5165 b=4.5165 c=7.2354 alpha=90.00 beta=90.00 gamma=120.00
Fractional coordinates of all 6 atoms:
Y1 0.0000 0.0000 0.0000
Y2 0.0000 0.0000 0.4826
Ga1 0.3333 0.6667 0.6967
Ga2 0.6667 0.3333 0.2125
Ga3 0.6667 0.3333 0.7900
Ag1 0.3333 0.6667 0.2718

=====

The following is a simulated X-ray powder pattern of Mg15B. It was derived from DFT lattice parameters and positions (GGA-PBE), using λ = 1.5418 Å (Cu Kα).

The 10 most intense peaks (2θ from 10° to 90°), low angle first:
2θ (°)	intensity
32.9	25
35.7	25
37.6	100
49.3	14
58.7	17
65.4	17
69.0	3
70.7	18
71.8	13
80.2	3

Crystal structure
Unit cell a=6.2894 b=6.2894 c=10.0522 alpha=90.00 beta=90.00 gamma=120.00
Fractional coordinates of all 16 atoms:
Mg1 0.0000 0.0000 0.0000
Mg2 0.0027 0.5014 0.0000
Mg3 0.1618 0.3236 0.2623
Mg4 0.1618 0.3236 0.7377
Mg5 0.1618 0.8382 0.2623
Mg6 0.1618 0.8382 0.7377
Mg7 0.4986 0.5014 0.0000
Mg8 0.4986 0.9973 0.0000
Mg9 0.5027 0.0054 0.5000
Mg10 0.5027 0.4973 0.5000
Mg11 0.6667 0.3333 0.2490
Mg12 0.6667 0.3333 0.7510
Mg13 0.6764 0.8382 0.2623
Mg14 0.6764 0.8382 0.7377
Mg15 0.9946 0.4973 0.5000
B1 0.0000 0.0000 0.5000

=====

The following is a simulated X-ray powder pattern of AlH10C3N. It was derived from DFT lattice parameters and positions (GGA-PBE), using λ = 1.5418 Å (Cu Kα).

The 10 most intense peaks (2θ from 10° to 90°), low angle first:
2θ (°)	intensity
12.0	100
16.0	13
16.5	65
17.3	68
18.7	9
22.4	15
23.0	10
30.3	9
32.2	13
37.5	9

Crystal structure
Unit cell a=5.9618 b=10.7392 c=10.9371 alpha=90.00 beta=111.36 gamma=90.00
Fractional coordinates of all 60 atoms:
Al1 0.1998 0.0514 0.4768
Al2 0.1998 0.4486 0.9768
Al3 0.8002 0.5514 0.0232
Al4 0.8002 0.9486 0.5232
H1 0.0306 0.0521 0.1748
H2 0.0306 0.4479 0.6748
H3 0.1344 0.1212 0.7213
H4 0.1344 0.3788 0.2213
H5 0.2010 0.7273 0.2052
H6 0.2010 0.7727 0.7052
H7 0.2057 0.0383 0.9374
H8 0.2057 0.4617 0.4374
H9 0.2536 0.7147 0.0561
H10 0.2536 0.7853 0.5561
H11 0.2673 0.1949 0.5123
H12 0.2673 0.3051 0.0123
H13 0.2667 0.6139 0.3945
H14 0.2667 0.8861 0.8945
H15 0.3259 0.5311 0.8963
H16 0.3259 0.9689 0.3963
H17 0.4194 0.0473 0.7805
H18 0.4194 0.4527 0.2805
H19 0.4688 0.6549 0.2047
H20 0.4688 0.8451 0.7047
H21 0.5312 0.1549 0.2953
H22 0.5312 0.3451 0.7953
H23 0.5806 0.5473 0.7195
H24 0.5806 0.9527 0.2195
H25 0.6741 0.0311 0.6037
H26 0.6741 0.4689 0.1037
H27 0.7333 0.1139 0.1055
H28 0.7333 0.3861 0.6055
H29 0.7327 0.6949 0.9877
H30 0.7327 0.8051 0.4877
H31 0.7464 0.2147 0.4439
H32 0.7464 0.2853 0.9439
H33 0.7943 0.5383 0.5626
H34 0.7943 0.9617 0.0626
H35 0.7990 0.2273 0.2948
H36 0.7990 0.2727 0.7948
H37 0.8656 0.6212 0.7787
H38 0.8656 0.8788 0.2787
H39 0.9694 0.5521 0.3252
H40 0.9694 0.9479 0.8252
C1 0.1619 0.5292 0.3560
C2 0.1619 0.9708 0.8560
C3 0.2237 0.0301 0.7454
C4 0.2237 0.4699 0.2454
C5 0.2749 0.6667 0.1479
C6 0.2749 0.8333 0.6479
C7 0.7251 0.1667 0.3521
C8 0.7251 0.3333 0.8521
C9 0.7763 0.5301 0.7546
C10 0.7763 0.9699 0.2546
C11 0.8381 0.0292 0.1440
C12 0.8381 0.4708 0.6440
N1 0.1546 0.5435 0.1212
N2 0.1546 0.9565 0.6212
N3 0.8454 0.0435 0.3788
N4 0.8454 0.4565 0.8788